No. 1
Starting from DFT lattice parameters and positions (GGA-PBE), the PXRD pattern of Cu2Ag3 was computed for λ = 1.5418 Å (Cu Kα).

Main lines, sorted by position (10° ≤ 2θ ≤ 90°):
Position (°2θ)  d_spacing  intensity  (hkl)
39.53  2.280  100  1 0 5
45.42  1.997  34  1 1 0
47.07  1.931  14  0 0 10
66.18  1.412  10  2 0 0
67.47  1.388  18  1 1 10
79.91  1.200  23  2 1 5
82.32  1.171  9  1 0 15
85.12  1.140  9  2 0 10

Atomic structure:
```
data_Cu2Ag3
_symmetry_space_group_name_H-M 'P 1'
_symmetry_Int_Tables_number 1
_symmetry_space_group_name_Hall 'P 1'
_cell_length_a 2.824
_cell_length_b 2.824
_cell_length_c 19.308
_cell_angle_alpha 90.00
_cell_angle_beta 90.00
_cell_angle_gamma 90.00
loop_
_atom_site_label
_atom_site_type_symbol
_atom_site_fract_x
_atom_site_fract_y
_atom_site_fract_z
Cu1 Cu 0.000 0.000 0.097
Cu2 Cu 0.000 0.000 0.903
Cu3 Cu 0.500 0.500 0.403
Cu4 Cu 0.500 0.500 0.597
Ag1 Ag 0.000 0.000 0.306
Ag2 Ag 0.000 0.000 0.500
Ag3 Ag 0.000 0.000 0.694
Ag4 Ag 0.500 0.500 0.000
Ag5 Ag 0.500 0.500 0.194
Ag6 Ag 0.500 0.500 0.806
```

No. 2
Starting from DFT lattice parameters and positions (GGA-PBE), the PXRD pattern of KBa2Sm3 was computed for λ = 1.5418 Å (Cu Kα).

Main lines, sorted by position (10° ≤ 2θ ≤ 90°):
Position (°2θ)  d_spacing  intensity  (hkl)
14.31  6.190  67  1 0 0
26.77  3.330  51  0 0 2
28.34  3.149  97  1 1 1
28.85  3.095  29  2 0 0
31.89  2.807  100  2 0 1
50.60  1.804  28  2 0 3
51.12  1.787  26  2 2 0
58.64  1.574  34  2 2 2

Atomic structure:
```
data_KBa2Sm3
_symmetry_space_group_name_H-M 'P 1'
_symmetry_Int_Tables_number 1
_symmetry_space_group_name_Hall 'P 1'
_cell_length_a 7.147
_cell_length_b 7.147
_cell_length_c 6.659
_cell_angle_alpha 90.00
_cell_angle_beta 90.00
_cell_angle_gamma 120.00
loop_
_atom_site_label
_atom_site_type_symbol
_atom_site_fract_x
_atom_site_fract_y
_atom_site_fract_z
K1 K 0.000 0.000 0.000
Ba1 Ba 0.333 0.667 0.998
Ba2 Ba 0.667 0.333 0.002
Sm1 Sm 0.000 0.500 0.500
Sm2 Sm 0.500 0.000 0.500
Sm3 Sm 0.500 0.500 0.500
```

Copy entry 2 word for word.
Starting from DFT lattice parameters and positions (GGA-PBE), the PXRD pattern of KBa2Sm3 was computed for λ = 1.5418 Å (Cu Kα).

Main lines, sorted by position (10° ≤ 2θ ≤ 90°):
Position (°2θ)  d_spacing  intensity  (hkl)
14.31  6.190  67  1 0 0
26.77  3.330  51  0 0 2
28.34  3.149  97  1 1 1
28.85  3.095  29  2 0 0
31.89  2.807  100  2 0 1
50.60  1.804  28  2 0 3
51.12  1.787  26  2 2 0
58.64  1.574  34  2 2 2

Atomic structure:
```
data_KBa2Sm3
_symmetry_space_group_name_H-M 'P 1'
_symmetry_Int_Tables_number 1
_symmetry_space_group_name_Hall 'P 1'
_cell_length_a 7.147
_cell_length_b 7.147
_cell_length_c 6.659
_cell_angle_alpha 90.00
_cell_angle_beta 90.00
_cell_angle_gamma 120.00
loop_
_atom_site_label
_atom_site_type_symbol
_atom_site_fract_x
_atom_site_fract_y
_atom_site_fract_z
K1 K 0.000 0.000 0.000
Ba1 Ba 0.333 0.667 0.998
Ba2 Ba 0.667 0.333 0.002
Sm1 Sm 0.000 0.500 0.500
Sm2 Sm 0.500 0.000 0.500
Sm3 Sm 0.500 0.500 0.500
```

What is the formula in the first record? Cu2Ag3